The following is a computed XRD peak list of YHoCo2B2N2. It was derived from a DFT-relaxed cell (GGA-PBE, OQMD), using CuKα.
Peak positions follow from Bragg's law for the DFT cell and can differ from measured ones.

```
data_YHoCo2B2N2
_chemical_formula_sum 'Y1 Ho1 Co2 B2 N2'
_symmetry_space_group_name_H-M 'P 1'
_symmetry_Int_Tables_number 1
_cell_length_a 3.4711
_cell_length_b 3.4711
_cell_length_c 7.4450
_cell_angle_alpha 90.00
_cell_angle_beta 90.00
_cell_angle_gamma 90.00
loop_
_symmetry_equiv_pos_as_xyz
'x,y,z'
loop_
_atom_site_label
_atom_site_fract_x
_atom_site_fract_y
_atom_site_fract_z
_atom_site_occupancy
Y1 0.0000 0.0000 0.0000 1
Ho1 0.5000 0.5000 0.6638 1
Co1 0.0000 0.5000 0.3324 1
Co2 0.5000 0.0000 0.3324 1
B1 0.0000 0.0000 0.4819 1
B2 0.5000 0.5000 0.1817 1
N1 0.0000 0.0000 0.6844 1
N2 0.5000 0.5000 0.9786 1
```

Most intense lines, 15° ≤ 2θ ≤ 90°, by angle:
index, d_spacing, I_rel
1 0 1, 3.146, 100
1 0 2, 2.539, 71
0 0 3, 2.482, 57
1 1 1, 2.331, 87
1 1 2, 2.049, 64
2 0 0, 1.736, 43
2 1 1, 1.520, 25
1 1 4, 1.483, 22
2 1 2, 1.433, 25
2 0 3, 1.422, 37